[1]
Theoretical PXRD pattern of K2Pt4W for λ = 1.5418 Å (Cu Kα), from a crystal structure in Alexandria, relaxed with PBE.
Intensities are scaled so that the largest is 100.

Principal peaks in the range 2θ from 5° to 70°, low angle first:
d_spacing  2θ (°)  I/Imax
8.286  10.68  100
4.760  18.64  77
3.235  27.57  23
2.762  32.42  31
2.680  33.44  52
2.485  36.15  60
2.380  37.80  20
2.203  40.97  22
1.847  49.33  37
1.757  52.05  21

Crystal structure
```
K2Pt4W
1.0
4.9696 0.0000 0.0000
0.0000 4.9696 0.0000
0.0000 0.0000 16.5719
K Pt W
4 8 2
Cartesian
0.0000 0.0000 2.3980
0.0000 0.0000 14.1738
2.4848 2.4848 5.8879
2.4848 2.4848 10.6839
0.0000 0.0000 5.8941
0.0000 0.0000 10.6777
0.0000 2.4848 0.0000
0.0000 2.4848 8.2859
2.4848 0.0000 0.0000
2.4848 0.0000 8.2859
2.4848 2.4848 2.3918
2.4848 2.4848 14.1801
0.0000 0.0000 8.2859
2.4848 2.4848 0.0000
```

[2]
Theoretical PXRD pattern of TaMo3Se for λ = 1.5418 Å (Cu Kα), from a crystal structure in Alexandria, relaxed with PBE.
Intensities are scaled so that the largest is 100.

Principal peaks in the range 2θ from 5° to 70°, low angle first:
d_spacing  2θ (°)  I/Imax
3.224  27.67  42
2.633  34.05  100
2.280  39.53  98
1.862  48.93  18
1.612  57.13  65
1.442  64.64  8
1.375  68.21  39

Crystal structure
```
TaMo3Se
1.0
4.5600 0.0000 0.0000
0.0000 4.5600 0.0000
0.0000 0.0000 4.5600
Ta Mo Se
1 3 1
Cartesian
0.0000 0.0000 0.0000
0.0000 2.2800 2.2800
2.2800 0.0000 2.2800
2.2800 2.2800 0.0000
2.2800 2.2800 2.2800
```

[3]
Theoretical PXRD pattern of Na3Al3Si3AgBrO12 for λ = 1.5418 Å (Cu Kα), from a crystal structure in Alexandria, relaxed with PBE.
Intensities are scaled so that the largest is 100.

Principal peaks in the range 2θ from 5° to 70°, low angle first:
d_spacing  2θ (°)  I/Imax
9.025  9.80  15
6.381  13.88  10
4.036  22.02  15
3.684  24.16  100
2.412  37.28  36
2.127  42.50  45
2.018  44.92  9
1.595  57.79  10
1.504  61.66  13
1.464  63.55  16

Crystal structure
```
Na3Al3Si3AgBrO12
1.0
6.3804 -6.3823 0.0000
6.3804 6.3823 0.0000
-0.0012 0.0000 9.0257
Na Al Si Ag Br O
6 6 6 2 2 24
Cartesian
6.3798 5.5978 4.5129
4.0088 3.1771 1.1048
8.7848 3.1853 1.1242
4.0082 -3.1771 5.6176
8.7842 -3.1853 5.6370
6.3804 -5.5978 0.0000
1.6045 1.5948 2.8100
1.6039 -1.5948 7.3228
4.8058 1.5825 7.3118
4.8064 -1.5825 2.7989
9.5663 0.0080 5.0721
9.5669 -0.0080 0.5592
4.7905 4.7839 7.3183
3.2002 0.0043 0.5565
3.1996 -0.0043 5.0694
7.9886 1.5994 7.3236
4.7911 -4.7839 2.8055
7.9892 -1.5994 2.8108
6.3908 1.0955 4.2784
6.3902 -1.0955 8.7913
6.3891 3.2406 2.8023
6.3885 -3.2406 7.3152
6.3243 5.0608 6.8056
4.5413 3.2473 7.8329
2.6666 1.2786 1.4438
1.9368 0.5194 4.1613
3.6906 1.2568 5.9912
1.9362 -0.5194 8.6742
2.6660 -1.2786 5.9566
4.4696 0.5340 8.6881
3.6912 -1.2568 1.4784
4.4702 -0.5340 4.1752
6.4641 1.3560 6.7669
8.2376 3.1316 7.8579
8.2370 0.5969 8.6011
9.0361 1.3369 6.0918
4.5419 -3.2473 3.3200
6.4647 -1.3560 2.2540
8.2376 -0.5969 4.0882
10.1725 1.3312 1.5322
10.8934 0.5990 4.0757
9.0367 -1.3369 1.5789
8.2382 -3.1316 3.3450
6.3249 -5.0608 2.2927
10.1719 -1.3312 6.0451
10.8928 -0.5990 8.5886
```

[4]
Theoretical PXRD pattern of Ta2SiOs for λ = 1.5418 Å (Cu Kα), from a crystal structure in Alexandria, relaxed with PBE.
Intensities are scaled so that the largest is 100.

Principal peaks in the range 2θ from 5° to 70°, low angle first:
d_spacing  2θ (°)  I/Imax
4.527  19.61  11
3.467  25.70  21
2.654  33.78  6
2.352  38.27  7
2.289  39.36  100
2.264  39.82  24
1.876  48.52  28
1.650  55.70  5
1.467  63.42  3
1.445  64.51  24

Crystal structure
```
Ta2SiOs
1.0
3.7528 0.0000 0.0000
0.0000 3.7528 0.0000
0.0000 0.0000 9.0543
Ta Si Os
4 2 2
Cartesian
0.0000 0.0000 0.0000
0.0000 1.8764 2.2636
1.8764 0.0000 6.7907
1.8764 1.8764 4.5272
0.0000 0.0000 4.5272
1.8764 1.8764 0.0000
0.0000 1.8764 6.7907
1.8764 0.0000 2.2636
```

[5]
Theoretical PXRD pattern of Ba6AlAg2 for λ = 1.5418 Å (Cu Kα), from a crystal structure in Alexandria, relaxed with PBE.
Intensities are scaled so that the largest is 100.

Principal peaks in the range 2θ from 5° to 70°, low angle first:
d_spacing  2θ (°)  I/Imax
7.638  11.59  13
4.044  21.98  21
3.819  23.29  15
3.237  27.56  100
2.965  30.14  60
2.469  36.39  38
2.097  43.15  22
1.760  51.96  33
1.605  57.40  18
1.598  57.68  19

Crystal structure
```
Ba6AlAg2
1.0
0.0000 7.6376 8.8857
2.9683 0.0000 8.8857
2.9683 7.6376 0.0000
Ba Al Ag
6 1 2
Cartesian
2.9683 5.6844 2.9557
2.9683 9.5908 2.9557
2.9683 5.6644 8.8857
2.9683 9.6108 8.8857
2.9683 5.6844 14.8158
2.9683 9.5908 14.8158
0.0000 0.0000 0.0000
2.9683 7.6376 5.9795
2.9683 7.6376 11.7920
```

[6]
Theoretical PXRD pattern of Ag3SbBr8 for λ = 1.5418 Å (Cu Kα), from a crystal structure in Alexandria, relaxed with PBE.
Intensities are scaled so that the largest is 100.

Principal peaks in the range 2θ from 5° to 70°, low angle first:
d_spacing  2θ (°)  I/Imax
6.485  13.65  75
3.372  26.43  39
3.285  27.14  73
2.715  32.99  100
2.473  36.33  11
2.101  43.06  53
2.085  43.40  40
1.967  46.15  17
1.875  48.56  14
1.688  54.36  20

Crystal structure
```
Ag3SbBr8
1.0
7.5327 -3.9343 0.0000
7.5327 3.9343 0.0000
-3.6671 0.0000 6.5414
Ag Sb Br
3 1 8
Cartesian
0.0000 0.0000 0.0000
1.9328 1.9671 3.2707
1.9328 -1.9671 3.2707
7.5327 0.0000 0.0000
4.7974 2.0521 4.8481
6.6008 2.0521 1.6933
2.7180 0.0000 1.7066
1.3219 0.0000 5.1500
10.0764 0.0000 1.3914
8.6802 0.0000 4.8349
4.7974 -2.0521 4.8481
6.6008 -2.0521 1.6933
```

[7]
Theoretical PXRD pattern of K2Li3SnF12 for λ = 1.5418 Å (Cu Kα), from a crystal structure in Alexandria, relaxed with PBE.
Intensities are scaled so that the largest is 100.

Principal peaks in the range 2θ from 5° to 70°, low angle first:
d_spacing  2θ (°)  I/Imax
5.833  15.19  53
5.121  17.32  100
3.548  25.10  30
3.172  28.13  46
3.077  29.02  92
2.917  30.65  22
2.365  38.05  43
1.944  46.72  25
1.849  49.28  25
1.774  51.51  43

Crystal structure
```
K2Li3SnF12
1.0
3.5484 2.0487 6.1728
-3.5484 2.0487 6.1728
0.0000 -4.0974 6.1728
K Li Sn F
2 3 1 12
Cartesian
0.0000 0.0000 2.0209
0.0000 0.0000 16.4975
-1.7742 -1.0243 6.1728
-1.7742 1.0243 12.3456
0.0000 2.0487 6.1728
0.0000 0.0000 9.2592
0.0000 -1.9155 5.8057
-1.6588 0.9577 5.8057
-1.4550 -0.8400 8.1682
-1.6588 -0.9577 12.7126
0.0000 -1.6801 10.3501
-1.4550 0.8400 10.3501
1.4550 -0.8400 8.1683
0.0000 1.6801 8.1683
1.6588 0.9577 5.8057
1.4550 0.8400 10.3501
1.6588 -0.9577 12.7126
0.0000 1.9154 12.7126
```

[8]
Theoretical PXRD pattern of Pr4Pd2Rh for λ = 1.5418 Å (Cu Kα), from a crystal structure in Alexandria, relaxed with PBE.
Intensities are scaled so that the largest is 100.

Principal peaks in the range 2θ from 5° to 70°, low angle first:
d_spacing  2θ (°)  I/Imax
3.521  25.29  35
2.863  31.24  96
2.841  31.49  100
2.712  33.03  68
2.315  38.91  59
2.306  39.06  64
2.271  39.68  58
1.920  47.34  34
1.761  51.93  47
1.478  62.88  29

Crystal structure
```
Pr4Pd2Rh
1.0
5.7912 -4.6292 0.0000
5.7912 4.6292 0.0000
-2.6934 0.0000 7.1958
Pr Pd Rh
8 4 2
Cartesian
0.0000 0.0000 0.0000
10.2467 0.0000 3.5533
7.4612 2.3889 2.6092
6.1478 2.3956 6.1786
4.3970 0.0000 3.5450
3.0603 0.0000 7.1930
7.4612 -2.3889 2.6092
6.1478 -2.3956 6.1786
4.6272 2.3212 1.6062
4.6272 -2.3212 1.6062
8.6210 0.0000 0.8985
7.2828 0.0000 4.5944
2.7733 0.0000 0.8890
1.4876 0.0000 4.5940
```

[9]
Theoretical PXRD pattern of Hg5Te4Se for λ = 1.5418 Å (Cu Kα), from a crystal structure in Alexandria, relaxed with PBE.
Intensities are scaled so that the largest is 100.

Principal peaks in the range 2θ from 5° to 70°, low angle first:
d_spacing  2θ (°)  I/Imax
3.796  23.44  100
3.287  27.13  7
2.574  34.86  1
2.324  38.74  76
1.982  45.77  51
1.898  47.93  2
1.644  55.94  13
1.508  61.48  21
1.470  63.25  3
1.437  64.91  1

Crystal structure
```
Hg5Te4Se
1.0
2.3253 1.3425 18.9641
-2.3253 1.3425 18.9641
0.0000 -2.6851 18.9641
Hg Te Se
5 4 1
Cartesian
0.0000 0.0000 0.0000
0.0000 0.0000 11.2176
0.0000 0.0000 22.4548
0.0000 0.0000 34.0517
0.0000 0.0000 45.2730
0.0000 0.0000 8.3501
0.0000 0.0000 31.1821
0.0000 0.0000 42.4093
0.0000 0.0000 54.0079
0.0000 0.0000 19.7397
```

[10]
Theoretical PXRD pattern of Cs4Tl5Ga for λ = 1.5418 Å (Cu Kα), from a crystal structure in Alexandria, relaxed with PBE.
Intensities are scaled so that the largest is 100.

Principal peaks in the range 2θ from 5° to 70°, low angle first:
d_spacing  2θ (°)  I/Imax
8.379  10.56  100
6.125  14.46  50
3.747  23.74  84
3.577  24.89  47
2.987  29.92  98
2.721  32.92  37
2.667  33.60  44
2.588  34.67  70
2.250  40.08  47
1.681  54.59  32

Crystal structure
```
Cs4Tl5Ga
1.0
-5.9251 5.9251 3.5774
5.9251 -5.9251 3.5774
5.9251 5.9251 -3.5774
Cs Tl Ga
4 5 1
Cartesian
8.2814 1.1530 0.0000
1.1530 3.5689 0.0000
4.7721 2.3562 3.5774
-2.3562 4.7721 3.5774
5.2209 3.7770 -0.0504
2.1481 -0.7042 3.5270
3.7770 6.6294 -0.0504
0.7042 2.1481 3.5270
0.0000 0.0000 5.8692
0.0000 0.0000 1.5567
```

[11]
Theoretical PXRD pattern of Tm6ZnPd5 for λ = 1.5418 Å (Cu Kα), from a crystal structure in Alexandria, relaxed with PBE.
Intensities are scaled so that the largest is 100.

Principal peaks in the range 2θ from 5° to 70°, low angle first:
d_spacing  2θ (°)  I/Imax
3.470  25.67  7
2.454  36.62  100
2.003  45.26  2
1.735  52.76  17
1.552  59.57  3
1.417  65.94  35

Crystal structure
```
Tm6ZnPd5
1.0
2.4530 -7.3616 0.0000
2.4530 7.3616 0.0000
0.0000 0.0000 6.9418
Tm Zn Pd
6 1 5
Cartesian
0.0000 0.0000 1.7099
0.0000 0.0000 5.2319
2.4530 2.4679 1.7287
2.4530 2.4679 5.2131
2.4530 -2.4679 1.7287
2.4530 -2.4679 5.2131
2.4530 0.0000 3.4709
2.4530 4.9376 3.4709
2.4530 4.8856 0.0000
2.4530 0.0000 0.0000
2.4530 -4.8856 0.0000
2.4530 -4.9376 3.4709
```

[12]
Theoretical PXRD pattern of U2Zn16Hg for λ = 1.5418 Å (Cu Kα), from a crystal structure in Alexandria, relaxed with PBE.
Intensities are scaled so that the largest is 100.

Principal peaks in the range 2θ from 5° to 70°, low angle first:
d_spacing  2θ (°)  I/Imax
4.534  19.58  30
3.161  28.23  40
3.048  29.30  23
2.618  34.25  67
2.530  35.49  41
2.267  39.76  77
2.251  40.05  100
2.207  40.89  59
2.194  41.14  23
1.581  58.35  26

Crystal structure
```
U2Zn16Hg
1.0
4.5344 2.6179 4.4094
-4.5344 2.6179 4.4094
0.0000 -5.2358 4.4094
U Zn Hg
2 16 1
Cartesian
0.0000 0.0000 0.0000
0.0000 0.0000 4.2263
0.0000 -2.5454 2.3270
-2.2044 1.2727 2.3270
-2.3369 -1.3492 6.5576
0.0000 -2.7414 6.3551
-2.3741 1.3707 6.3551
-1.3643 -2.3736 8.7597
-2.7377 0.0053 8.7597
2.2044 1.2727 2.3270
1.3643 -2.3736 8.7597
-1.3734 2.3683 8.7597
2.3369 -1.3492 6.5576
0.0000 2.6984 6.5576
0.0000 0.0000 10.1628
2.3741 1.3707 6.3551
2.7377 0.0053 8.7596
1.3734 2.3683 8.7596
0.0000 0.0000 7.4059
```